# 1
# Tl3Cl
Simulated PXRD pattern, a wavelength of 1.5418 Å. Input: a structure optimized by DFT (PBE).

Crystal structure
```
data_Tl3Cl
_cell_length_a 3.7777
_cell_length_b 3.7777
_cell_length_c 9.9490
_cell_angle_alpha 90.00
_cell_angle_beta 90.00
_cell_angle_gamma 120.00
_space_group_name_H-M_alt 'P -6 m 2'
_space_group_IT_number 187
_space_group_name_Hall 'P -6 2'
loop_
_atom_site_label
_atom_site_fract_x
_atom_site_fract_y
_atom_site_fract_z
Tl1 0.0000 0.0000 0.0000
Tl2 0.6667 0.3333 0.2727
Cl1 0.0000 0.0000 0.5000
```

Most intense lines, 10 to 90 degrees two-theta, by intensity:
h k l  2θ (°)  d/Å  intensity
1 0 2  32.76  2.733  100.0
1 0 0  27.26  3.272  33.0
1 1 0  48.18  1.889  23.7
1 0 1  28.72  3.108  18.6
1 1 4  61.66  1.504  18.4
2 0 2  59.49  1.554  18.4
2 1 2  79.95  1.200  16.0
0 0 4  36.11  2.487  14.4
1 0 4  45.83  1.980  12.2
1 0 5  53.93  1.700  11.9

***

# 2
# RePbCl6
Simulated PXRD pattern, a wavelength of 1.5418 Å. Input: a structure optimized by DFT (PBE).

Crystal structure
```
data_RePbCl6
_cell_length_a 10.955
_cell_length_b 8.002
_cell_length_c 10.240
_cell_angle_alpha 90.00
_cell_angle_beta 91.30
_cell_angle_gamma 90.00
_space_group_name_H-M_alt 'C 1 2/c 1'
_space_group_IT_number 15
_space_group_name_Hall '-C 2yc'
loop_
_atom_site_label
_atom_site_fract_x
_atom_site_fract_y
_atom_site_fract_z
Re1 0.250 0.250 0.000
Pb1 0.000 0.020 0.250
Cl1 0.069 0.329 0.106
Cl2 0.154 0.290 0.794
Cl3 0.174 0.030 0.500
```

Most intense lines, 10 to 90 degrees two-theta, by intensity:
h k l  2θ (°)  d/Å  intensity
1 1 1  16.32  5.431  100.0
1 1 0  13.71  6.461  97.4
1 1 -1  16.12  5.497  66.9
2 0 2  24.07  3.698  64.1
2 2 0  27.61  3.231  60.4
2 0 -2  23.52  3.782  55.8
4 2 -2  43.49  2.081  46.1
3 1 -2  31.81  2.813  38.0
0 2 2  28.31  3.152  35.2
1 3 -1  35.70  2.515  34.5

***

# 3
# Ho2Tm5Th4
Simulated PXRD pattern, a wavelength of 1.5418 Å. Input: a structure optimized by DFT (PBE).

Crystal structure
```
data_Ho2Tm5Th4
_cell_length_a 3.551
_cell_length_b 8.582
_cell_length_c 11.774
_cell_angle_alpha 104.65
_cell_angle_beta 98.65
_cell_angle_gamma 90.01
_space_group_name_H-M_alt 'P -1'
_space_group_IT_number 2
_space_group_name_Hall '-P 1'
loop_
_atom_site_label
_atom_site_fract_x
_atom_site_fract_y
_atom_site_fract_z
Ho1 0.091 0.221 0.181
Tm1 0.000 0.500 0.000
Tm2 0.272 0.685 0.544
Tm3 0.363 0.405 0.727
Th1 0.183 0.953 0.364
Th2 0.454 0.138 0.908
```

Most intense lines, 10 to 90 degrees two-theta, by intensity:
h k l  2θ (°)  d/Å  intensity
1 1 1  30.96  2.889  100.0
1 2 -3  35.85  2.505  67.9
0 1 -4  30.84  2.899  50.5
0 3 -1  31.27  2.860  48.5
1 0 5  51.53  1.774  36.8
0 2 3  36.16  2.484  33.2
2 1 -5  61.24  1.513  29.3
1 3 4  61.80  1.501  28.5
1 4 0  52.12  1.755  23.6
0 1 7  61.48  1.508  21.7

***

# 4
# Tb2DyTmIn2
Simulated PXRD pattern, a wavelength of 1.5418 Å. Input: a structure optimized by DFT (PBE).

Crystal structure
```
data_Tb2DyTmIn2
_cell_length_a 5.172
_cell_length_b 9.805
_cell_length_c 6.721
_cell_angle_alpha 90.00
_cell_angle_beta 90.00
_cell_angle_gamma 90.00
_space_group_name_H-M_alt 'P m c 21'
_space_group_IT_number 26
_space_group_name_Hall 'P 2c -2'
loop_
_atom_site_label
_atom_site_fract_x
_atom_site_fract_y
_atom_site_fract_z
Tb1 0.000 0.039 0.000
Tb2 0.500 0.182 0.281
Dy1 0.500 0.462 0.927
Tm1 0.000 0.318 0.647
In1 0.000 0.362 0.176
In2 0.500 0.145 0.754
```

Most intense lines, 10 to 90 degrees two-theta, by intensity:
h k l  2θ (°)  d/Å  intensity
1 3 0  32.40  2.763  100.0
1 1 2  33.08  2.708  81.2
2 0 0  34.69  2.586  55.7
1 0 2  31.76  2.818  44.6
0 2 2  32.30  2.772  33.6
1 2 4  61.01  1.519  23.2
2 2 2  48.12  1.891  22.1
0 3 2  38.42  2.343  20.8
1 2 1  28.38  3.145  17.0
2 3 2  52.72  1.736  16.7

***

# 5
# PaSnPd5
Simulated PXRD pattern, a wavelength of 1.5418 Å. Input: a structure optimized by DFT (PBE).

Crystal structure
```
data_PaSnPd5
_cell_length_a 7.304
_cell_length_b 7.384
_cell_length_c 6.902
_cell_angle_alpha 90.00
_cell_angle_beta 90.00
_cell_angle_gamma 90.00
_space_group_name_H-M_alt 'I m m 2'
_space_group_IT_number 44
_space_group_name_Hall 'I 2 -2'
loop_
_atom_site_label
_atom_site_fract_x
_atom_site_fract_y
_atom_site_fract_z
Pa1 0.000 0.000 0.000
Sn1 0.000 0.500 0.494
Pd1 0.000 0.000 0.362
Pd2 0.000 0.312 0.142
Pd3 0.190 0.000 0.695
```

Most intense lines, 10 to 90 degrees two-theta, by intensity:
h k l  2θ (°)  d/Å  intensity
0 1 1  17.63  5.030  100.0
2 2 2  43.63  2.075  65.2
0 1 3  41.10  2.196  57.8
0 2 0  24.11  3.692  57.0
2 0 0  24.37  3.652  54.3
2 3 1  46.39  1.957  52.7
2 1 1  30.22  2.958  50.0
1 1 0  17.08  5.193  41.5
1 3 0  38.60  2.332  30.1
3 0 1  39.24  2.296  29.6

***

# 6
# PmSm10Er6
Simulated PXRD pattern, a wavelength of 1.5418 Å. Input: a structure optimized by DFT (PBE).

Crystal structure
```
data_PmSm10Er6
_cell_length_a 9.7575
_cell_length_b 9.7575
_cell_length_c 6.8551
_cell_angle_alpha 90.00
_cell_angle_beta 90.00
_cell_angle_gamma 120.00
_space_group_name_H-M_alt 'P -3 1 m'
_space_group_IT_number 162
_space_group_name_Hall '-P 3 2'
loop_
_atom_site_label
_atom_site_fract_x
_atom_site_fract_y
_atom_site_fract_z
Pm1 0.0000 0.0000 0.0000
Sm1 0.0000 0.2770 0.3181
Sm2 0.3333 0.6667 0.0000
Sm3 0.3333 0.6667 0.5000
Er1 0.0000 0.3722 0.8088
```

Most intense lines, 10 to 90 degrees two-theta, by intensity:
h k l  2θ (°)  d/Å  intensity
1 1 2  31.91  2.805  100.0
3 0 0  31.77  2.817  80.2
3 -1 1  30.89  2.895  40.9
4 -2 2  45.65  1.987  26.2
4 1 2  56.66  1.625  25.0
2 -1 4  56.95  1.617  18.3
3 2 1  48.82  1.865  13.0
6 -1 1  62.70  1.482  11.0
4 -1 1  40.68  2.218  10.9
6 -2 1  59.43  1.555  9.7

***

# 7
# Ac2NdGe3Au12
Simulated PXRD pattern, a wavelength of 1.5418 Å. Input: a structure optimized by DFT (PBE).

Crystal structure
```
data_Ac2NdGe3Au12
_cell_length_a 9.1383
_cell_length_b 9.1383
_cell_length_c 19.5181
_cell_angle_alpha 90.00
_cell_angle_beta 90.00
_cell_angle_gamma 120.00
_space_group_name_H-M_alt 'R -3 m'
_space_group_IT_number 166
_space_group_name_Hall '-R 3 2"'
loop_
_atom_site_label
_atom_site_fract_x
_atom_site_fract_y
_atom_site_fract_z
Ac1 0.0000 0.0000 0.1017
Nd1 0.0000 0.0000 0.5000
Ge1 0.0000 0.5000 0.0000
Au1 0.0180 0.5090 0.3247
Au2 0.0288 0.5144 0.8677
```

Most intense lines, 10 to 90 degrees two-theta, by intensity:
h k l  2θ (°)  d/Å  intensity
2 2 0  39.45  2.284  100.0
2 0 5  32.21  2.779  56.2
0 2 4  29.05  3.073  49.5
1 2 2  31.28  2.860  29.0
2 2 9  58.70  1.573  22.3
2 2 6  48.70  1.870  22.0
0 0 6  27.42  3.253  19.2
0 2 1  22.93  3.878  18.7
1 1 6  33.83  2.650  16.5
1 1 3  23.80  3.739  15.5

***

# 8
# RbBeCu2I6
Simulated PXRD pattern, a wavelength of 1.5418 Å. Input: a structure optimized by DFT (PBE).

Crystal structure
```
data_RbBeCu2I6
_cell_length_a 15.109
_cell_length_b 15.376
_cell_length_c 8.380
_cell_angle_alpha 90.00
_cell_angle_beta 115.75
_cell_angle_gamma 90.00
_space_group_name_H-M_alt 'C 1 2/c 1'
_space_group_IT_number 15
_space_group_name_Hall '-C 2yc'
loop_
_atom_site_label
_atom_site_fract_x
_atom_site_fract_y
_atom_site_fract_z
Rb1 0.000 0.108 0.250
Be1 0.000 0.212 0.750
Cu1 0.184 0.425 0.127
I1 0.061 0.291 0.021
I2 0.122 0.109 0.733
I3 0.160 0.449 0.416
```

Most intense lines, 10 to 90 degrees two-theta, by intensity:
h k l  2θ (°)  d/Å  intensity
4 2 -1  26.27  3.393  100.0
0 2 1  16.46  5.386  86.7
1 1 2  27.75  3.215  59.9
2 2 0  17.40  5.096  54.0
3 1 0  20.40  4.353  42.5
1 5 0  29.78  3.000  33.7
2 2 -2  24.36  3.654  33.6
3 1 -3  32.87  2.725  32.1
0 4 2  33.27  2.693  29.3
2 4 1  31.47  2.843  28.8